For Y2Ga3Pt5, a crystal structure in Alexandria, relaxed with PBE gives the theoretical powder X-ray diffraction pattern in this record (Cu Ka).
Intensities are scaled so that the largest is 100.

Cell and atoms:
```
Y2Ga3Pt5
1.0
-5.6446 5.7773 2.8548
5.6446 -5.7773 2.8548
5.6446 5.7773 -2.8548
Y Ga Pt
4 6 10
Direct
0.1366 0.2262 0.3628 Y
0.3634 0.7262 0.0896 Y
0.6366 0.2738 0.9104 Y
0.8634 0.7738 0.6372 Y
0.1376 0.8829 0.0205 Ga
0.2500 0.7500 0.5000 Ga
0.3624 0.3829 0.7453 Ga
0.6376 0.6171 0.2547 Ga
0.7500 0.2500 0.5000 Ga
0.8624 0.1171 0.9795 Ga
0.0240 0.7500 0.2740 Pt
0.0972 0.6709 0.7681 Pt
0.2500 0.2500 0.0000 Pt
0.4028 0.1709 0.5737 Pt
0.4760 0.7500 0.7260 Pt
0.5240 0.2500 0.2740 Pt
0.5972 0.8291 0.4263 Pt
0.7500 0.7500 0.0000 Pt
0.9028 0.3291 0.2319 Pt
0.9760 0.2500 0.7260 Pt
```

Peak list (6 most intense, 2θ = 5–70°, in order of falling intensity)
35.2°, intensity 100
34.9°, intensity 79
44.6°, intensity 71
45.2°, intensity 31
23.3°, intensity 30
15.7°, intensity 26